Calculated X-ray diffraction stick pattern of Al2PdPt7 for CuKα, from DFT lattice parameters and positions (GGA-PBE).

Most intense lines, 5° ≤ 2θ ≤ 70°, most intense first:
- hkl 1 5 1, 42.77 deg, 2.114 Å, I = 100
- hkl 3 1 1, 44.86 deg, 2.021 Å, I = 82
- hkl 2 4 0, 36.85 deg, 2.439 Å, I = 65
- hkl 2 0 1, 33.74 deg, 2.657 Å, I = 63
- hkl 1 3 0, 23.57 deg, 3.775 Å, I = 51
- hkl 0 2 1, 26.15 deg, 3.408 Å, I = 48
- hkl 0 0 2, 45.76 deg, 1.983 Å, I = 46
- hkl 2 4 2, 60.17 deg, 1.538 Å, I = 45

Crystal structure
Unit cell a=7.157 b=13.332 c=3.966 alpha=90.00 beta=90.00 gamma=90.00
Space group Cmmm (No. 65)
Inequivalent atoms, fractional coordinates:
Al (0.000, 0.191, 0.000) (multiplicity 4)
Pd (0.000, 0.500, 0.500) (multiplicity 2)
Pt (0.000, 0.000, 0.000) (multiplicity 2)
Pt (0.000, 0.301, 0.500) (multiplicity 4)
Pt (0.191, 0.392, 0.000) (multiplicity 8)